Theoretical powder XRD pattern
Compound: Ac2Mg3Cd6
Radiation: a wavelength of 1.5418 Å
Structure: a cell relaxed with GGA-PBE
Neutral-atom scattering factors, no anomalous dispersion.

Structure:
a = 11.5523 Å, b = 12.1011 Å, c = 4.4752 Å
α = 90.00°, β = 90.00°, γ = 90.00°
Space group Cmmm (No. 65)
One atom of each set of equivalent atoms:
Ac1 0.0000 0.2091 0.0000
Mg1 0.0000 0.5000 0.5000
Mg2 0.2042 0.5000 0.0000
Cd1 0.1192 0.0000 0.5000
Cd2 0.1864 0.3446 0.5000

Principal peaks in the range 15° ≤ 2θ ≤ 90°, in order of rising 2θ:
two_theta, I (rel.), h k l
24.7, 36.4, 0 2 1
25.2, 92.6, 2 0 1
29.2, 97.4, 2 2 1
30.8, 100.0, 1 3 1
32.1, 80.6, 3 3 0
37.0, 34.2, 4 0 1
40.3, 43.1, 0 0 2
52.5, 39.8, 3 3 2